Computed XRD peak list
Compound: TmV3O9
Radiation: λ = 1.5418 Å (Cu Kα)
Structure: DFT lattice parameters and positions (GGA+U)

Crystal structure
```
data_TmV3O9
_chemical_formula_sum 'Tm2 V6 O18'
_symmetry_space_group_name_H-M 'P 1'
_symmetry_Int_Tables_number 1
_symmetry_space_group_name_Hall 'P 1'
_cell_length_a 8.445
_cell_length_b 8.445
_cell_length_c 10.825
_cell_angle_alpha 122.25
_cell_angle_beta 122.25
_cell_angle_gamma 52.15
loop_
_atom_site_label
_atom_site_type_symbol
_atom_site_fract_x
_atom_site_fract_y
_atom_site_fract_z
Tm1 Tm 0.249 0.751 0.500
Tm2 Tm 0.751 0.249 0.000
V1 V 0.206 0.295 0.750
V2 V 0.295 0.206 0.250
V3 V 0.536 0.739 0.327
V4 V 0.739 0.536 0.827
V5 V 0.761 0.965 0.173
V6 V 0.965 0.761 0.673
O1 O 0.001 0.375 0.813
O2 O 0.065 0.238 0.106
O3 O 0.098 0.832 0.656
O4 O 0.129 0.498 0.688
O5 O 0.238 0.065 0.606
O6 O 0.262 0.436 0.395
O7 O 0.375 0.001 0.313
O8 O 0.399 0.670 0.343
O9 O 0.436 0.262 0.895
O10 O 0.498 0.129 0.188
O11 O 0.562 0.626 0.674
O12 O 0.626 0.562 0.174
O13 O 0.670 0.399 0.843
O14 O 0.748 0.750 0.000
O15 O 0.750 0.748 0.500
O16 O 0.832 0.098 0.156
O17 O 0.875 0.936 0.826
O18 O 0.936 0.875 0.326
```

Top 10 peaks for 2θ = 10–90°, in order of rising 2θ:
- 14.52°, I 53
- 16.56°, I 19
- 19.70°, I 100
- 21.44°, I 14
- 22.54°, I 27
- 23.66°, I 17
- 27.73°, I 24
- 28.14°, I 22
- 31.68°, I 22
- 33.94°, I 19


Computed XRD peak list
Compound: TmV2O4
Radiation: λ = 1.5418 Å (Cu Kα)
Structure: DFT lattice parameters and positions (GGA+U)

Crystal structure
```
data_TmV2O4
_chemical_formula_sum 'Tm2 V4 O8'
_symmetry_space_group_name_H-M 'P 1'
_symmetry_Int_Tables_number 1
_symmetry_space_group_name_Hall 'P 1'
_cell_length_a 5.902
_cell_length_b 5.902
_cell_length_c 5.957
_cell_angle_alpha 109.88
_cell_angle_beta 109.88
_cell_angle_gamma 107.30
loop_
_atom_site_label
_atom_site_type_symbol
_atom_site_fract_x
_atom_site_fract_y
_atom_site_fract_z
Tm1 Tm 0.119 0.881 0.750
Tm2 Tm 0.881 0.119 0.250
V1 V 0.000 0.500 0.000
V2 V 0.500 0.000 0.500
V3 V 0.500 0.500 0.000
V4 V 0.500 0.500 0.500
O1 O 0.196 0.269 0.062
O2 O 0.207 0.657 0.437
O3 O 0.269 0.196 0.562
O4 O 0.343 0.793 0.063
O5 O 0.657 0.207 0.937
O6 O 0.731 0.804 0.438
O7 O 0.793 0.343 0.563
O8 O 0.804 0.731 0.938
```

Top 10 peaks for 2θ = 10–90°, in order of rising 2θ:
- 18.07°, I 36
- 26.17°, I 100
- 31.58°, I 43
- 31.75°, I 68
- 31.95°, I 44
- 32.40°, I 48
- 40.76°, I 37
- 41.06°, I 40
- 50.61°, I 36
- 53.85°, I 37


Computed XRD peak list
Compound: TmW4O12
Radiation: λ = 1.5418 Å (Cu Kα)
Structure: DFT lattice parameters and positions (GGA+U)

Crystal structure
```
data_TmW4O12
_chemical_formula_sum 'Tm1 W4 O12'
_symmetry_space_group_name_H-M 'P 1'
_symmetry_Int_Tables_number 1
_symmetry_space_group_name_Hall 'P 1'
_cell_length_a 6.677
_cell_length_b 6.677
_cell_length_c 6.677
_cell_angle_alpha 111.71
_cell_angle_beta 108.44
_cell_angle_gamma 108.30
loop_
_atom_site_label
_atom_site_type_symbol
_atom_site_fract_x
_atom_site_fract_y
_atom_site_fract_z
Tm1 Tm 0.000 0.000 0.000
W1 W 0.000 0.000 0.500
W2 W 0.000 0.500 0.000
W3 W 0.500 0.000 0.000
W4 W 0.500 0.500 0.500
O1 O 0.003 0.706 0.298
O2 O 0.238 0.190 0.428
O3 O 0.238 0.810 0.048
O4 O 0.242 0.052 0.810
O5 O 0.242 0.432 0.190
O6 O 0.408 0.706 0.702
O7 O 0.592 0.294 0.298
O8 O 0.758 0.568 0.810
O9 O 0.758 0.948 0.190
O10 O 0.762 0.190 0.952
O11 O 0.762 0.810 0.572
O12 O 0.997 0.294 0.702
```

Top 10 peaks for 2θ = 10–90°, in order of rising 2θ:
- 16.39°, I 25
- 22.76°, I 70
- 23.74°, I 29
- 32.40°, I 49
- 33.12°, I 100
- 40.57°, I 15
- 46.48°, I 30
- 52.85°, I 15
- 58.26°, I 45
- 59.62°, I 23


Computed XRD peak list
Compound: Tm3WO7
Radiation: λ = 1.5418 Å (Cu Kα)
Structure: DFT lattice parameters and positions (GGA+U)

Crystal structure
```
data_Tm3WO7
_chemical_formula_sum 'Tm6 W2 O14'
_symmetry_space_group_name_H-M 'P 1'
_symmetry_Int_Tables_number 1
_symmetry_space_group_name_Hall 'P 1'
_cell_length_a 6.405
_cell_length_b 6.405
_cell_length_c 7.382
_cell_angle_alpha 90.00
_cell_angle_beta 90.00
_cell_angle_gamma 108.93
loop_
_atom_site_label
_atom_site_type_symbol
_atom_site_fract_x
_atom_site_fract_y
_atom_site_fract_z
Tm1 Tm 0.024 0.024 0.000
Tm2 Tm 0.033 0.502 0.254
Tm3 Tm 0.498 0.967 0.246
Tm4 Tm 0.502 0.033 0.746
Tm5 Tm 0.967 0.498 0.754
Tm6 Tm 0.976 0.976 0.500
W1 W 0.499 0.499 0.500
W2 W 0.501 0.501 0.000
O1 O 0.131 0.869 0.750
O2 O 0.137 0.863 0.250
O3 O 0.171 0.416 0.973
O4 O 0.180 0.435 0.535
O5 O 0.416 0.171 0.027
O6 O 0.421 0.579 0.250
O7 O 0.435 0.180 0.465
O8 O 0.565 0.820 0.965
O9 O 0.579 0.421 0.750
O10 O 0.584 0.829 0.527
O11 O 0.820 0.565 0.035
O12 O 0.829 0.584 0.473
O13 O 0.863 0.137 0.750
O14 O 0.869 0.131 0.250
```

Top 10 peaks for 2θ = 10–90°, in order of rising 2θ:
- 29.49°, I 100
- 29.66°, I 100
- 34.21°, I 49
- 34.41°, I 23
- 48.94°, I 13
- 49.33°, I 73
- 58.27°, I 25
- 58.59°, I 41
- 58.74°, I 13
- 80.14°, I 16


What did the second record say?
Computed XRD peak list
Compound: TmV2O4
Radiation: λ = 1.5418 Å (Cu Kα)
Structure: DFT lattice parameters and positions (GGA+U)

Crystal structure
```
data_TmV2O4
_chemical_formula_sum 'Tm2 V4 O8'
_symmetry_space_group_name_H-M 'P 1'
_symmetry_Int_Tables_number 1
_symmetry_space_group_name_Hall 'P 1'
_cell_length_a 5.902
_cell_length_b 5.902
_cell_length_c 5.957
_cell_angle_alpha 109.88
_cell_angle_beta 109.88
_cell_angle_gamma 107.30
loop_
_atom_site_label
_atom_site_type_symbol
_atom_site_fract_x
_atom_site_fract_y
_atom_site_fract_z
Tm1 Tm 0.119 0.881 0.750
Tm2 Tm 0.881 0.119 0.250
V1 V 0.000 0.500 0.000
V2 V 0.500 0.000 0.500
V3 V 0.500 0.500 0.000
V4 V 0.500 0.500 0.500
O1 O 0.196 0.269 0.062
O2 O 0.207 0.657 0.437
O3 O 0.269 0.196 0.562
O4 O 0.343 0.793 0.063
O5 O 0.657 0.207 0.937
O6 O 0.731 0.804 0.438
O7 O 0.793 0.343 0.563
O8 O 0.804 0.731 0.938
```

Top 10 peaks for 2θ = 10–90°, in order of rising 2θ:
- 18.07°, I 36
- 26.17°, I 100
- 31.58°, I 43
- 31.75°, I 68
- 31.95°, I 44
- 32.40°, I 48
- 40.76°, I 37
- 41.06°, I 40
- 50.61°, I 36
- 53.85°, I 37